For NdTl3P2O8, the GGA-PBE geometry in Alexandria gives the theoretical powder X-ray diffraction pattern in this record (Cu Kα (weighted mean of Kα1 and Kα2)).
Kinematic intensities with the Lorentz-polarization factor, no thermal factor.

Main lines, most intense first (10 to 90 degrees two-theta):
2theta	I/Imax	h k l
27.8	100.0	1 0 2
30.7	79.3	1 1 0
41.8	35.3	0 2 2
20.6	34.3	1 0 1
52.8	31.9	2 1 2
54.2	27.1	1 1 4
37.2	17.5	0 2 1
54.5	15.5	3 0 0
37.0	15.0	0 1 3
71.0	14.4	1 3 2

Structure:
Cell lengths 5.8332, 5.8332, 8.3136 Å; angles 90.00, 90.00, 120.00 degrees
Space group P-3m1 (No. 164)
Inequivalent atoms, fractional coordinates:
Nd: 0.0000 0.0000 0.0000 x1
Tl: 0.0000 0.0000 0.5000 x1
Tl: 0.3333 0.6667 0.2712 x2
P: 0.3333 0.6667 0.7663 x2
O: 0.1877 0.3754 0.8307 x6
O: 0.3333 0.6667 0.5815 x2